The following is a simulated PXRD pattern of Mn3NiN. It was derived from DFT lattice parameters and positions (PBE), using Cu Kα X-rays.
No peak broadening, texture or thermal motion is included.

Principal peaks in the range 10 to 90 degrees two-theta, by angle:
2.258 Å, 39.92 deg, intensity 40, hkl 0 3 1; 2.181 Å, 41.41 deg, intensity 73, hkl 1 2 0; 2.137 Å, 42.30 deg, intensity 72, hkl 1 0 -2; 2.101 Å, 43.06 deg, intensity 100, hkl 0 2 2; 2.056 Å, 44.04 deg, intensity 72, hkl 1 1 1; 1.894 Å, 48.04 deg, intensity 38, hkl 0 4 0; 1.834 Å, 49.73 deg, intensity 45, hkl 1 3 -1; 1.236 Å, 77.19 deg, intensity 27, hkl 1 5 1

Atomic structure:
```
data_Mn3NiN
_space_group_name_H-M_alt 'P 1 21/m 1'
_space_group_IT_number 11
_cell_length_a 2.765
_cell_length_b 7.575
_cell_length_c 5.235
_cell_angle_alpha 90.00
_cell_angle_beta 105.28
_cell_angle_gamma 90.00
loop_
_space_group_symop_operation_xyz
'x,y,z'
'-x,-y,-z'
'-x,y+1/2,-z'
'x,-y+1/2,z'
loop_
_atom_site_label
_atom_site_type_symbol
_atom_site_fract_x
_atom_site_fract_y
_atom_site_fract_z
_atom_site_occupancy
Mn1 Mn 0.034 0.250 0.067 1
Mn2 Mn 0.369 0.040 0.738 1
Ni1 Ni 0.255 0.750 0.513 1
N1 N 0.000 0.000 0.000 1
```


The following is a simulated PXRD pattern of Pr8CuRh3I4. It was derived from DFT lattice parameters and positions (PBE), using Cu Kα X-rays.
No peak broadening, texture or thermal motion is included.

Principal peaks in the range 10 to 90 degrees two-theta, by angle:
3.149 Å, 28.35 deg, intensity 100, hkl 4 0 0; 2.939 Å, 30.41 deg, intensity 16, hkl 4 0 -3; 2.536 Å, 35.39 deg, intensity 10, hkl 2 2 -3; 2.355 Å, 38.22 deg, intensity 26, hkl 2 2 2; 2.117 Å, 42.72 deg, intensity 38, hkl 0 4 0; 1.757 Å, 52.06 deg, intensity 18, hkl 4 4 0; 1.673 Å, 54.87 deg, intensity 12, hkl 6 2 -5; 1.352 Å, 69.54 deg, intensity 15, hkl 10 2 -2

Atomic structure:
```
data_Pr8CuRh3I4
_space_group_name_H-M_alt 'C 1 2/m 1'
_space_group_IT_number 12
_cell_length_a 14.665
_cell_length_b 8.466
_cell_length_c 9.542
_cell_angle_alpha 90.00
_cell_angle_beta 120.82
_cell_angle_gamma 90.00
loop_
_space_group_symop_operation_xyz
'x,y,z'
'-x,-y,-z'
'-x,y,-z'
'x,-y,z'
'x+1/2,y+1/2,z'
'-x+1/2,-y+1/2,-z'
'-x+1/2,y+1/2,-z'
'x+1/2,-y+1/2,z'
loop_
_atom_site_label
_atom_site_type_symbol
_atom_site_fract_x
_atom_site_fract_y
_atom_site_fract_z
_atom_site_occupancy
Pr1 Pr 0.023 0.245 0.314 1
Pr2 Pr 0.230 0.000 0.688 1
Pr3 Pr 0.232 0.500 0.685 1
Cu1 Cu 0.000 0.500 0.500 1
Rh1 Rh 0.000 0.000 0.500 1
Rh2 Rh 0.250 0.250 0.500 1
I1 I 0.000 0.000 0.000 1
I2 I 0.000 0.500 0.000 1
I3 I 0.250 0.250 0.000 1
```


The following is a simulated PXRD pattern of Zn2Ag7HgSb2. It was derived from DFT lattice parameters and positions (PBE), using Cu Kα X-rays.
No peak broadening, texture or thermal motion is included.

Principal peaks in the range 10 to 90 degrees two-theta, by angle:
2.726 Å, 32.85 deg, intensity 19, hkl 0 2 2; 2.479 Å, 36.24 deg, intensity 100, hkl 2 0 -3; 2.460 Å, 36.53 deg, intensity 51, hkl 2 0 3; 2.223 Å, 40.58 deg, intensity 24, hkl 0 2 4; 2.217 Å, 40.70 deg, intensity 36, hkl 0 0 6; 2.108 Å, 42.90 deg, intensity 30, hkl 2 2 0; 2.082 Å, 43.46 deg, intensity 25, hkl 2 2 1; 1.277 Å, 74.24 deg, intensity 18, hkl 2 4 3

Atomic structure:
```
data_Zn2Ag7HgSb2
_space_group_name_H-M_alt 'C 1 2/m 1'
_space_group_IT_number 12
_cell_length_a 5.948
_cell_length_b 5.978
_cell_length_c 13.301
_cell_angle_alpha 90.00
_cell_angle_beta 90.49
_cell_angle_gamma 90.00
loop_
_space_group_symop_operation_xyz
'x,y,z'
'-x,-y,-z'
'-x,y,-z'
'x,-y,z'
'x+1/2,y+1/2,z'
'-x+1/2,-y+1/2,-z'
'-x+1/2,y+1/2,-z'
'x+1/2,-y+1/2,z'
loop_
_atom_site_label
_atom_site_type_symbol
_atom_site_fract_x
_atom_site_fract_y
_atom_site_fract_z
_atom_site_occupancy
Zn1 Zn 0.002 0.000 0.182 1
Ag1 Ag 0.000 0.000 0.500 1
Ag2 Ag 0.234 0.000 0.000 1
Ag3 Ag 0.249 0.249 0.338 1
Hg1 Hg 0.000 0.500 0.500 1
Sb1 Sb 0.001 0.500 0.179 1
```


The following is a simulated PXRD pattern of SmHoC. It was derived from DFT lattice parameters and positions (PBE), using Cu Kα X-rays.
No peak broadening, texture or thermal motion is included.

Principal peaks in the range 10 to 90 degrees two-theta, by angle:
6.286 Å, 14.09 deg, intensity 14, hkl 0 0 1; 3.143 Å, 28.40 deg, intensity 33, hkl 0 0 2; 2.973 Å, 30.06 deg, intensity 100, hkl 2 0 0; 2.609 Å, 34.37 deg, intensity 76, hkl 1 1 1; 1.885 Å, 48.28 deg, intensity 15, hkl 1 1 -3; 1.809 Å, 50.46 deg, intensity 28, hkl 0 2 0; 1.567 Å, 58.95 deg, intensity 17, hkl 3 1 1; 1.545 Å, 59.86 deg, intensity 15, hkl 2 2 0

Atomic structure:
```
data_SmHoC
_space_group_name_H-M_alt 'P 1 21/m 1'
_space_group_IT_number 11
_cell_length_a 6.266
_cell_length_b 3.617
_cell_length_c 6.631
_cell_angle_alpha 90.00
_cell_angle_beta 108.55
_cell_angle_gamma 90.00
loop_
_space_group_symop_operation_xyz
'x,y,z'
'-x,-y,-z'
'-x,y+1/2,-z'
'x,-y+1/2,z'
loop_
_atom_site_label
_atom_site_type_symbol
_atom_site_fract_x
_atom_site_fract_y
_atom_site_fract_z
_atom_site_occupancy
Sm1 Sm 0.009 0.250 0.278 1
Ho1 Ho 0.489 0.250 0.712 1
C1 C 0.257 0.750 0.503 1
```


The following is a simulated PXRD pattern of KSn2F8. It was derived from DFT lattice parameters and positions (PBE), using Cu Kα X-rays.
No peak broadening, texture or thermal motion is included.

Principal peaks in the range 10 to 90 degrees two-theta, by angle:
6.427 Å, 13.78 deg, intensity 100, hkl 0 1 0; 4.160 Å, 21.36 deg, intensity 63, hkl 0 1 -1; 4.004 Å, 22.20 deg, intensity 37, hkl 1 0 0; 3.765 Å, 23.63 deg, intensity 29, hkl 1 0 1; 3.709 Å, 24.00 deg, intensity 27, hkl 1 1 0; 3.480 Å, 25.60 deg, intensity 31, hkl 0 1 2; 3.289 Å, 27.11 deg, intensity 28, hkl 0 2 1; 2.091 Å, 43.27 deg, intensity 27, hkl 2 1 1

Atomic structure:
```
data_KSn2F8
_space_group_name_H-M_alt 'P -1'
_space_group_IT_number 2
_cell_length_a 4.192
_cell_length_b 6.901
_cell_length_c 7.421
_cell_angle_alpha 71.18
_cell_angle_beta 76.14
_cell_angle_gamma 76.04
loop_
_space_group_symop_operation_xyz
'x,y,z'
'-x,-y,-z'
loop_
_atom_site_label
_atom_site_type_symbol
_atom_site_fract_x
_atom_site_fract_y
_atom_site_fract_z
_atom_site_occupancy
K1 K 0.000 0.000 0.000 1
Sn1 Sn 0.143 0.397 0.299 1
F1 F 0.038 0.314 0.607 1
F2 F 0.184 0.610 0.043 1
F3 F 0.293 0.127 0.231 1
F4 F 0.372 0.609 0.663 1
```


The following is a simulated PXRD pattern of BeRh2O2. It was derived from DFT lattice parameters and positions (PBE), using Cu Kα X-rays.
No peak broadening, texture or thermal motion is included.

Principal peaks in the range 10 to 90 degrees two-theta, by angle:
3.122 Å, 28.59 deg, intensity 100, hkl 1 0 1; 2.614 Å, 34.30 deg, intensity 20, hkl 0 0 4; 2.385 Å, 37.71 deg, intensity 41, hkl 1 0 3; 2.313 Å, 38.94 deg, intensity 34, hkl 1 1 0; 1.762 Å, 51.89 deg, intensity 27, hkl 1 0 5; 1.732 Å, 52.85 deg, intensity 43, hkl 1 1 4; 1.636 Å, 56.25 deg, intensity 20, hkl 2 0 0; 1.449 Å, 64.30 deg, intensity 19, hkl 2 1 1

Atomic structure:
```
data_BeRh2O2
_space_group_name_H-M_alt 'I 4/m m m'
_space_group_IT_number 139
_space_group_name_Hall '-I 4 2'
_cell_length_a 3.271
_cell_length_b 3.271
_cell_length_c 10.458
_cell_angle_alpha 90.00
_cell_angle_beta 90.00
_cell_angle_gamma 90.00
loop_
_atom_site_label
_atom_site_type_symbol
_atom_site_fract_x
_atom_site_fract_y
_atom_site_fract_z
_atom_site_occupancy
Be1 Be 0.000 0.000 0.000 1
Rh1 Rh 0.000 0.000 0.381 1
O1 O 0.000 0.500 0.250 1
```


The following is a simulated PXRD pattern of AcMgZn2Pd. It was derived from DFT lattice parameters and positions (PBE), using Cu Kα X-rays.
No peak broadening, texture or thermal motion is included.

Principal peaks in the range 10 to 90 degrees two-theta, by angle:
6.008 Å, 14.74 deg, intensity 36, hkl 0 0 2; 3.032 Å, 29.46 deg, intensity 49, hkl 1 1 0; 2.939 Å, 30.41 deg, intensity 48, hkl 0 1 3; 2.915 Å, 30.67 deg, intensity 45, hkl 1 0 3; 2.707 Å, 33.09 deg, intensity 100, hkl 1 1 2; 2.101 Å, 43.06 deg, intensity 30, hkl 0 1 5; 2.092 Å, 43.25 deg, intensity 29, hkl 1 0 5; 1.503 Å, 61.70 deg, intensity 27, hkl 0 0 8

Atomic structure:
```
data_AcMgZn2Pd
_space_group_name_H-M_alt 'I m m 2'
_space_group_IT_number 44
_cell_length_a 4.250
_cell_length_b 4.326
_cell_length_c 12.016
_cell_angle_alpha 90.00
_cell_angle_beta 90.00
_cell_angle_gamma 90.00
loop_
_space_group_symop_operation_xyz
'x,y,z'
'-x,-y,z'
'-x,y,z'
'x,-y,z'
'x+1/2,y+1/2,z+1/2'
'-x+1/2,-y+1/2,z+1/2'
'-x+1/2,y+1/2,z+1/2'
'x+1/2,-y+1/2,z+1/2'
loop_
_atom_site_label
_atom_site_type_symbol
_atom_site_fract_x
_atom_site_fract_y
_atom_site_fract_z
_atom_site_occupancy
Ac1 Ac 0.000 0.000 0.000 1
Mg1 Mg 0.000 0.500 0.757 1
Zn1 Zn 0.000 0.000 0.616 1
Zn2 Zn 0.000 0.500 0.255 1
Pd1 Pd 0.000 0.000 0.396 1
```


The following is a simulated PXRD pattern of CdGa6. It was derived from DFT lattice parameters and positions (PBE), using Cu Kα X-rays.
No peak broadening, texture or thermal motion is included.

Principal peaks in the range 10 to 90 degrees two-theta, by angle:
4.328 Å, 20.52 deg, intensity 11, hkl 1 0 0; 2.841 Å, 31.49 deg, intensity 16, hkl 1 1 1; 2.390 Å, 37.64 deg, intensity 100, hkl 1 1 2; 2.164 Å, 41.74 deg, intensity 40, hkl 2 0 0; 1.913 Å, 47.52 deg, intensity 10, hkl 0 0 4; 1.530 Å, 60.51 deg, intensity 13, hkl 2 2 0; 1.433 Å, 65.07 deg, intensity 15, hkl 2 0 4; 1.289 Å, 73.49 deg, intensity 26, hkl 3 1 2

Atomic structure:
```
data_CdGa6
_space_group_name_H-M_alt 'P 4/m m m'
_space_group_IT_number 123
_space_group_name_Hall '-P 4 2'
_cell_length_a 4.328
_cell_length_b 4.328
_cell_length_c 7.654
_cell_angle_alpha 90.00
_cell_angle_beta 90.00
_cell_angle_gamma 90.00
loop_
_atom_site_label
_atom_site_type_symbol
_atom_site_fract_x
_atom_site_fract_y
_atom_site_fract_z
_atom_site_occupancy
Cd1 Cd 0.000 0.000 0.000 1
Ga1 Ga 0.000 0.000 0.500 1
Ga2 Ga 0.000 0.500 0.279 1
Ga3 Ga 0.500 0.500 0.000 1
```


The following is a simulated PXRD pattern of Ga2BN. It was derived from DFT lattice parameters and positions (PBE), using Cu Kα X-rays.
No peak broadening, texture or thermal motion is included.

Principal peaks in the range 10 to 90 degrees two-theta, by angle:
5.571 Å, 15.91 deg, intensity 15, hkl 0 0 2; 3.714 Å, 23.96 deg, intensity 89, hkl 0 0 3; 2.785 Å, 32.13 deg, intensity 42, hkl 0 0 4; 2.249 Å, 40.10 deg, intensity 100, hkl 1 0 0; 2.230 Å, 40.44 deg, intensity 52, hkl 0 1 1; 2.225 Å, 40.54 deg, intensity 18, hkl 1 1 1; 2.216 Å, 40.72 deg, intensity 16, hkl 1 0 -1; 1.812 Å, 50.37 deg, intensity 15, hkl 0 1 4

Atomic structure:
```
data_Ga2BN
_space_group_name_H-M_alt 'P 1'
_space_group_IT_number 1
_cell_length_a 2.600
_cell_length_b 2.600
_cell_length_c 11.171
_cell_angle_alpha 86.07
_cell_angle_beta 89.12
_cell_angle_gamma 60.00
loop_
_space_group_symop_operation_xyz
'x,y,z'
loop_
_atom_site_label
_atom_site_type_symbol
_atom_site_fract_x
_atom_site_fract_y
_atom_site_fract_z
_atom_site_occupancy
Ga1 Ga 0.000 0.000 0.000 1
Ga2 Ga 0.034 0.907 0.245 1
B1 B 0.733 0.405 0.619 1
N1 N 0.067 0.738 0.619 1
```


The following is a simulated PXRD pattern of Ba2SbAs3Pd4. It was derived from DFT lattice parameters and positions (PBE), using Cu Kα X-rays.
No peak broadening, texture or thermal motion is included.

Principal peaks in the range 10 to 90 degrees two-theta, by angle:
2.797 Å, 31.99 deg, intensity 58, hkl 1 0 3; 2.773 Å, 32.28 deg, intensity 100, hkl 1 1 2; 2.305 Å, 39.08 deg, intensity 69, hkl 2 0 0; 2.051 Å, 44.15 deg, intensity 25, hkl 1 1 4; 1.920 Å, 47.35 deg, intensity 22, hkl 1 0 5; 1.779 Å, 51.37 deg, intensity 30, hkl 2 1 3; 1.630 Å, 56.46 deg, intensity 23, hkl 2 2 0; 1.405 Å, 66.55 deg, intensity 24, hkl 3 1 2

Atomic structure:
```
data_Ba2SbAs3Pd4
_space_group_name_H-M_alt 'P -4 m 2'
_space_group_IT_number 115
_cell_length_a 4.610
_cell_length_b 4.610
_cell_length_c 10.559
_cell_angle_alpha 90.00
_cell_angle_beta 90.00
_cell_angle_gamma 90.00
loop_
_space_group_symop_operation_xyz
'x,y,z'
'y,-x,-z'
'-x,-y,z'
'-y,x,-z'
'-x,y,z'
'-y,-x,-z'
'x,-y,z'
'y,x,-z'
loop_
_atom_site_label
_atom_site_type_symbol
_atom_site_fract_x
_atom_site_fract_y
_atom_site_fract_z
_atom_site_occupancy
Ba1 Ba 0.000 0.500 0.241 1
Sb1 Sb 0.000 0.000 0.500 1
As1 As 0.000 0.500 0.878 1
As2 As 0.500 0.500 0.500 1
Pd1 Pd 0.000 0.000 0.000 1
Pd2 Pd 0.000 0.500 0.630 1
Pd3 Pd 0.500 0.500 0.000 1
```


The following is a simulated PXRD pattern of Mg4ScZn. It was derived from DFT lattice parameters and positions (PBE), using Cu Kα X-rays.
No peak broadening, texture or thermal motion is included.

Principal peaks in the range 10 to 90 degrees two-theta, by angle:
4.707 Å, 18.85 deg, intensity 12, hkl 1 1 1; 2.883 Å, 31.02 deg, intensity 58, hkl 2 2 0; 2.458 Å, 36.55 deg, intensity 100, hkl 3 1 1; 2.354 Å, 38.24 deg, intensity 18, hkl 2 2 2; 1.664 Å, 55.19 deg, intensity 21, hkl 4 2 2; 1.569 Å, 58.86 deg, intensity 31, hkl 5 1 1; 1.441 Å, 64.67 deg, intensity 23, hkl 4 4 0; 1.243 Å, 76.64 deg, intensity 10, hkl 5 3 3

Atomic structure:
```
data_Mg4ScZn
_space_group_name_H-M_alt 'F -4 3 m'
_space_group_IT_number 216
_space_group_name_Hall 'F -4 2 3'
_cell_length_a 8.153
_cell_length_b 8.153
_cell_length_c 8.153
_cell_angle_alpha 90.00
_cell_angle_beta 90.00
_cell_angle_gamma 90.00
loop_
_atom_site_label
_atom_site_type_symbol
_atom_site_fract_x
_atom_site_fract_y
_atom_site_fract_z
_atom_site_occupancy
Mg1 Mg 0.125 0.125 0.125 1
Sc1 Sc 0.250 0.250 0.750 1
Zn1 Zn 0.000 0.000 0.500 1
```